Entry 1:
# ZnFe4O6
Simulated X-ray powder pattern, Cu Kα, 1.54184 Å. Input: DFT lattice parameters and positions (GGA+U).
Intensities are scaled so that the largest is 100.

Largest 6 diffraction maxima, in order of falling intensity, 5° ≤ 2θ ≤ 70°:
2θ/deg, d/Å, I (rel.)
34.08, 2.631, 100
42.17, 2.143, 70
36.02, 2.494, 40
44.27, 2.046, 38
33.51, 2.675, 30
35.46, 2.532, 28

Cell and atoms:
```
22
Lattice="1.4863 -5.0631 0.0000 1.4863 5.0631 0.0000 0.0000 0.0000 15.3969" Properties=species:S:1:pos:R:3 pbc="T T T"
Zn 1.4863 3.5177 11.5477
Zn 1.4863 -3.5177 3.8492
Fe 1.4863 4.0494 2.1023
Fe 1.4863 4.0494 5.5961
Fe 1.4863 1.3666 0.7225
Fe 1.4863 1.3666 6.9759
Fe 1.4863 -1.3666 8.4210
Fe 1.4863 -1.3666 14.6743
Fe 1.4863 -4.0494 9.8008
Fe 1.4863 -4.0494 13.2945
O 0.0000 0.0000 0.0000
O 0.0000 0.0000 7.6984
O 1.4863 3.0187 3.8492
O 1.4863 2.1462 8.9731
O 1.4863 2.1462 14.1222
O 1.4863 0.3534 2.5129
O 1.4863 0.3534 5.1855
O 1.4863 -0.3534 10.2114
O 1.4863 -0.3534 12.8840
O 1.4863 -2.1462 1.2747
O 1.4863 -2.1462 6.4238
O 1.4863 -3.0187 11.5477
```

=====

Entry 2:
# KRbMn2Ga4P6H8O28
Simulated X-ray powder pattern, Cu Kα, 1.54184 Å. Input: DFT lattice parameters and positions (GGA+U).
Intensities are scaled so that the largest is 100.

Largest 6 diffraction maxima, in order of falling intensity, 5° ≤ 2θ ≤ 70°:
2θ/deg, d/Å, I (rel.)
28.74, 3.107, 100
16.49, 5.377, 78
28.37, 3.145, 74
26.10, 3.414, 45
27.92, 3.196, 40
10.90, 8.115, 39

Cell and atoms:
```
50
Lattice="6.8809 -5.1779 0.0000 6.8809 5.1779 0.0000 -2.8249 0.0000 8.5252" Properties=species:S:1:pos:R:3 pbc="T T T"
K 0.0000 0.0000 0.0000
Rb 5.4684 -2.2888 4.2626
Mn 5.4684 4.3710 4.2626
Mn 6.8809 -1.4801 0.0000
Ga 2.6174 2.2194 5.7861
Ga 4.0300 0.6738 1.5215
Ga 8.3195 2.2194 2.7391
Ga 6.9069 0.6738 7.0037
P 1.6914 0.1284 3.6248
P 6.8809 1.4517 0.0000
P 5.4684 1.4501 4.2626
P 3.7820 -2.4207 0.6359
P 9.2455 0.1284 4.9003
P 7.1549 -2.4207 7.8893
H 0.0259 0.1672 6.4289
H -0.1872 -1.3622 6.8107
H 2.8253 -0.9224 5.9798
H 2.6121 -2.4531 6.3636
H 8.1115 -0.9224 2.5454
H 10.9109 0.1672 2.0963
H 8.3247 -2.4531 2.1615
H 11.1240 -1.3622 1.7145
O 0.8982 1.9330 6.7267
O 0.1896 0.4035 3.6340
O 3.7751 2.3686 0.7333
O 2.3098 0.9543 2.4604
O -0.5950 -0.5941 6.3380
O 4.3479 2.4330 4.7157
O 3.6173 2.4019 7.3847
O 2.3640 0.5242 4.9941
O 7.3195 2.4019 1.1404
O 6.5889 2.4330 3.8094
O 3.4160 -0.9157 0.7575
O 2.0639 -1.3752 3.5069
O 5.7624 0.4660 0.4535
O 5.0303 0.5050 3.1196
O 7.1617 2.3686 7.7918
O 5.9066 0.5050 5.4055
O 5.1745 0.4661 8.0717
O 3.2266 -1.6879 6.4619
O 10.0386 1.9330 1.7985
O 8.5728 0.5242 3.5310
O 5.2831 -2.7073 0.6236
O 8.6270 0.9543 6.0647
O 7.7102 -1.6879 2.0632
O 7.5209 -0.9157 7.7676
O 10.7472 0.4035 4.8911
O 5.6537 -2.7073 7.9015
O 8.8729 -1.3752 5.0182
O 11.5318 -0.5941 2.1871
```

=====

Entry 3:
# MnGa2P3H4NO14
Simulated X-ray powder pattern, Cu Kα, 1.54184 Å. Input: DFT lattice parameters and positions (GGA+U).
Intensities are scaled so that the largest is 100.

Largest 6 diffraction maxima, in order of falling intensity, 5° ≤ 2θ ≤ 70°:
2θ/deg, d/Å, I (rel.)
16.53, 5.362, 100
11.16, 7.931, 55
29.31, 3.047, 49
28.29, 3.155, 43
28.32, 3.151, 24
33.44, 2.679, 20

Cell and atoms:
```
50
Lattice="6.6546 -5.0895 0.0000 6.6546 5.0895 0.0000 -2.8409 0.0000 8.6917" Properties=species:S:1:pos:R:3 pbc="T T T"
Mn 4.5239 2.7693 6.5188
Mn 5.9443 -2.7693 2.1729
Ga 1.6244 0.7749 8.1420
Ga 3.0448 -0.7749 3.7961
Ga 7.4234 0.7749 4.8956
Ga 8.8438 -0.7749 0.5497
P 2.2550 1.2956 1.5626
P 0.8346 -1.2956 5.9084
P 4.5239 0.0528 6.5188
P 5.9443 -0.0528 2.1729
P 9.6337 1.2956 2.7833
P 8.2132 -1.2956 7.1292
H 0.5904 1.2124 4.3807
H 3.4121 2.3486 3.8648
H 2.0108 -1.2124 0.0349
H 8.4765 2.3486 0.4810
H 1.9917 -2.3486 8.2107
H 8.4574 1.2124 8.6569
H 7.0561 -2.3486 4.8269
H 9.8778 -1.2124 4.3110
N 5.9443 3.6992 2.1729
N 4.5239 -3.6992 6.5188
O 3.0842 3.9797 7.0912
O 1.0866 2.3279 7.3041
O 3.6587 3.0209 4.5360
O 2.8197 0.4134 0.4187
O 5.9635 3.9797 5.9464
O 2.9295 0.8739 2.9165
O 1.3993 -0.4134 4.7645
O 5.3891 3.0209 8.5016
O 3.4296 1.1043 6.9565
O 5.5559 0.8322 0.9885
O 1.5091 -0.8739 7.2624
O 5.6182 1.1043 6.0811
O 6.3328 0.8322 3.3574
O 2.5071 -2.3279 2.9582
O 7.9611 2.3279 5.7335
O 4.1354 -0.8322 5.3344
O 4.8501 -1.1043 2.6106
O 8.9591 0.8739 1.4294
O 4.9123 -0.8322 7.7032
O 7.0386 -1.1043 1.7352
O 5.0791 -3.0209 0.1901
O 9.0689 0.4134 3.9272
O 7.5387 -0.8739 5.7752
O 4.5047 -3.9797 2.7453
O 7.6485 -0.4134 8.2731
O 6.8096 -3.0209 4.1557
O 9.3816 -2.3279 1.3877
O 7.3840 -3.9797 1.6006
```

=====

Entry 4:
# La2MnGaO6
Simulated X-ray powder pattern, Cu Kα, 1.54184 Å. Input: DFT lattice parameters and positions (GGA+U).
Intensities are scaled so that the largest is 100.

Largest 6 diffraction maxima, in order of falling intensity, 5° ≤ 2θ ≤ 70°:
2θ/deg, d/Å, I (rel.)
31.46, 2.844, 100
31.95, 2.801, 92
46.40, 1.957, 48
32.44, 2.760, 43
32.26, 2.775, 42
56.97, 1.616, 36

Cell and atoms:
```
20
Lattice="5.5214 0.0000 0.0000 0.0000 5.5499 0.0000 -5.3478 0.0000 8.1486" Properties=species:S:1:pos:R:3 pbc="T T T"
La -0.0095 0.1913 2.0212
La -2.6834 2.5837 6.0955
La 2.8570 2.9662 2.0531
La 0.1831 5.3586 6.1274
Mn -2.6739 0.0000 4.0743
Mn 0.0000 2.7750 0.0000
Ga 2.7607 0.0000 0.0000
Ga 0.0868 2.7750 4.0743
O -4.1882 1.2199 7.7874
O -1.5143 1.5551 3.7131
O -3.8209 3.9502 7.7673
O -1.1471 4.3747 3.6931
O -2.1719 0.0859 6.2406
O 0.5020 2.6891 2.1663
O -0.3284 2.8609 5.9822
O 2.3455 5.4640 1.9080
O 1.3207 1.1752 4.4555
O 3.9945 1.5998 0.3812
O 1.6879 3.9948 4.4354
O 4.3618 4.3300 0.3612
```